The following is a theoretical powder X-ray diffraction pattern of Li4HoNbO6. It was derived from the GGA-PBE geometry in OQMD, using copper Kα.

Top 10 peaks for 2θ from 10° to 80°, most intense first:
- 18.13°, d = 4.892 Å, I 100
- 33.67°, d = 2.662 Å, I 59
- 41.41°, d = 2.180 Å, I 50
- 19.87°, d = 4.468 Å, I 45
- 22.54°, d = 3.945 Å, I 34
- 35.34°, d = 2.540 Å, I 28
- 18.92°, d = 4.691 Å, I 26
- 41.54°, d = 2.174 Å, I 25
- 26.32°, d = 3.386 Å, I 25
- 59.12°, d = 1.563 Å, I 24

Cell and atoms:
Lattice parameters (Å, degrees): 5.415 5.415 5.208 99.87 99.87 120.06
Atoms (fractional coordinates):
Li1 0.000 0.000 0.000
Li2 0.370 0.630 0.000
Li3 0.692 0.308 0.000
Li4 0.853 0.147 0.500
Ho1 0.186 0.814 0.500
Nb1 0.520 0.480 0.500
O1 0.132 0.403 0.258
O2 0.286 0.253 0.733
O3 0.441 0.099 0.261
O4 0.597 0.868 0.742
O5 0.747 0.714 0.267
O6 0.901 0.559 0.739